Structure and theoretical XRD peak list of CdNCl3 (a crystal structure in the Materials Project, relaxed with PBE; Cu Kα (λ = 1.5418 Å)).

Main lines, in order of rising 2θ (2θ = 15–90°):
2θ/deg, Rel. int.
21.1, 64.9
22.9, 57.9
27.9, 53.0
29.9, 100.0
31.7, 61.2
36.8, 41.5
42.4, 48.3
43.9, 40.9

Structural model:
abc: 9.8265 3.7751 16.8677
angles: 90.00 90.00 90.00
Element x y z (fractional)
Cd 0.1616 0.2500 0.0349
Cd 0.3384 0.7500 0.5349
Cd 0.6616 0.2500 0.4651
Cd 0.8384 0.7500 0.9651
N 0.2171 0.7500 0.2371
N 0.2829 0.2500 0.7371
N 0.7171 0.7500 0.2629
N 0.7829 0.2500 0.7629
Cl 0.0089 0.2500 0.9061
Cl 0.1704 0.2500 0.5219
Cl 0.1923 0.2500 0.2616
Cl 0.3077 0.7500 0.7616
Cl 0.3296 0.7500 0.0219
Cl 0.4911 0.7500 0.4061
Cl 0.5089 0.2500 0.5939
Cl 0.6704 0.2500 0.9781
Cl 0.6923 0.2500 0.2384
Cl 0.8077 0.7500 0.7384
Cl 0.8296 0.7500 0.4781
Cl 0.9911 0.7500 0.0939

***

Structure and theoretical XRD peak list of NaO (a crystal structure in the Materials Project, relaxed with PBE; Cu Kα (λ = 1.5418 Å)).

Main lines, in order of rising 2θ (2θ = 15–90°):
2θ/deg, Rel. int.
33.9, 33.1
35.4, 17.0
36.8, 35.0
41.3, 22.9
43.4, 75.3
44.6, 100.0
57.9, 17.9
58.8, 26.3

Structural model:
abc: 3.0065 5.5260 6.3701
angles: 90.00 90.00 90.00
Element x y z (fractional)
Na 0.1805 0.2500 0.0000
Na 0.1805 0.2500 0.5000
Na 0.8195 0.7500 0.0000
Na 0.8195 0.7500 0.5000
O 0.3288 0.5665 0.2500
O 0.3288 0.9335 0.7500
O 0.6712 0.0665 0.2500
O 0.6712 0.4335 0.7500

***

Structure and theoretical XRD peak list of SmCuO3 (a crystal structure in the Materials Project, relaxed with PBE; Cu Kα (λ = 1.5418 Å)).

Main lines, in order of rising 2θ (2θ = 15–90°):
2θ/deg, Rel. int.
23.2, 25.4
32.4, 100.0
33.6, 97.1
40.2, 18.5
47.4, 54.6
57.8, 24.9
58.6, 41.2
61.0, 17.4

Structural model:
abc: 5.3343 5.3343 5.3343
angles: 62.44 62.44 62.44
Element x y z (fractional)
Sm 0.2500 0.2500 0.2500
Sm 0.7500 0.7500 0.7500
Cu 0.0000 0.0000 0.0000
Cu 0.5000 0.5000 0.5000
O 0.1735 0.7500 0.3265
O 0.2500 0.6735 0.8265
O 0.3265 0.1735 0.7500
O 0.6735 0.8265 0.2500
O 0.7500 0.3265 0.1735
O 0.8265 0.2500 0.6735

***

Structure and theoretical XRD peak list of Dy2FeGe4 (a crystal structure in the Materials Project, relaxed with PBE; Cu Kα (λ = 1.5418 Å)).

Main lines, in order of rising 2θ (2θ = 15–90°):
2θ/deg, Rel. int.
24.3, 10.8
34.9, 100.0
36.1, 15.7
41.3, 13.3
42.8, 18.5
43.4, 17.8
62.7, 18.9
73.4, 9.9

Structural model:
abc: 4.1688 4.2213 15.3999
angles: 90.00 90.00 90.00
Element x y z (fractional)
Dy 0.0000 0.0000 0.0000
Dy 0.0000 0.5000 0.5000
Dy 0.5000 0.0000 0.2018
Dy 0.5000 0.5000 0.7018
Fe 0.0000 0.0000 0.7980
Fe 0.0000 0.5000 0.2980
Ge 0.0000 0.0000 0.3579
Ge 0.0000 0.0000 0.6487
Ge 0.0000 0.5000 0.1487
Ge 0.0000 0.5000 0.8579
Ge 0.5000 0.0000 0.5380
Ge 0.5000 0.0000 0.8603
Ge 0.5000 0.5000 0.0380
Ge 0.5000 0.5000 0.3603

***

Structure and theoretical XRD peak list of Mg14ZrAl (a crystal structure in the Materials Project, relaxed with PBE; Cu Kα (λ = 1.5418 Å)).

Main lines, in order of rising 2θ (2θ = 15–90°):
2θ/deg, Rel. int.
18.3, 14.4
32.5, 25.5
35.3, 25.3
37.1, 100.0
48.7, 15.7
57.9, 17.2
64.6, 18.3
69.7, 19.0

Structural model:
abc: 6.3716 6.3716 10.1635
angles: 90.00 90.00 120.00
Element x y z (fractional)
Mg 0.0000 0.0000 0.2438
Mg 0.0000 0.0000 0.7562
Mg 0.0084 0.5042 0.2511
Mg 0.0084 0.5042 0.7489
Mg 0.3316 0.1658 0.5000
Mg 0.3384 0.1692 0.0000
Mg 0.4958 0.5042 0.2511
Mg 0.4958 0.5042 0.7489
Mg 0.4958 0.9916 0.2511
Mg 0.4958 0.9916 0.7489
Mg 0.8308 0.1692 0.0000
Mg 0.8308 0.6616 0.0000
Mg 0.8342 0.1658 0.5000
Mg 0.8342 0.6684 0.5000
Zr 0.3333 0.6667 0.0000
Al 0.3333 0.6667 0.5000

***

Structure and theoretical XRD peak list of Li3TiPCO7 (a crystal structure in the Materials Project, relaxed with PBE; Cu Kα (λ = 1.5418 Å)).

Main lines, in order of rising 2θ (2θ = 15–90°):
2θ/deg, Rel. int.
19.6, 28.4
21.7, 49.1
25.6, 28.9
25.9, 28.0
27.0, 100.0
36.5, 30.5
40.6, 19.5
55.7, 17.0

Structural model:
abc: 4.9937 6.6023 8.6212
angles: 90.00 96.73 90.00
Element x y z (fractional)
Li 0.2057 0.2500 0.1088
Li 0.2658 0.5225 0.7171
Li 0.2658 0.9775 0.7171
Li 0.7342 0.0225 0.2829
Li 0.7342 0.4775 0.2829
Li 0.7943 0.7500 0.8912
Ti 0.2075 0.7500 0.3196
Ti 0.7925 0.2500 0.6804
P 0.2715 0.2500 0.4118
P 0.7285 0.7500 0.5882
C 0.3272 0.7500 0.0313
C 0.6728 0.2500 0.9687
O 0.0774 0.7500 0.0596
O 0.1607 0.0666 0.3086
O 0.1607 0.4334 0.3086
O 0.1665 0.2500 0.5729
O 0.3943 0.7500 0.8912
O 0.4138 0.7500 0.5679
O 0.4900 0.2500 0.8462
O 0.5100 0.7500 0.1538
O 0.5862 0.2500 0.4321
O 0.6057 0.2500 0.1088
O 0.8335 0.7500 0.4271
O 0.8393 0.5666 0.6914
O 0.8393 0.9334 0.6914
O 0.9226 0.2500 0.9404

***

Structure and theoretical XRD peak list of CdC4N6 (a crystal structure in the Materials Project, relaxed with PBE; Cu Kα (λ = 1.5418 Å)).

Main lines, in order of rising 2θ (2θ = 15–90°):
2θ/deg, Rel. int.
16.3, 85.6
17.6, 74.0
18.2, 100.0
18.4, 74.9
27.3, 36.8
29.4, 30.1
29.8, 44.8
37.2, 46.1

Structural model:
abc: 6.3698 7.6205 9.8488
angles: 90.00 127.61 90.00
Element x y z (fractional)
Cd 0.0000 0.0000 0.0000
Cd 0.0000 0.5000 0.5000
C 0.0970 0.1338 0.3683
C 0.0970 0.3662 0.8683
C 0.3898 0.1448 0.6598
C 0.3898 0.3552 0.1598
C 0.6102 0.6448 0.8402
C 0.6102 0.8552 0.3402
C 0.9030 0.6338 0.1317
C 0.9030 0.8662 0.6317
N 0.0131 0.0882 0.2300
N 0.0131 0.4118 0.7300
N 0.1706 0.1965 0.5151
N 0.1706 0.3035 0.0151
N 0.4185 0.6084 0.7031
N 0.4185 0.8916 0.2031
N 0.5815 0.1084 0.7969
N 0.5815 0.3916 0.2969
N 0.8294 0.6965 0.9849
N 0.8294 0.8035 0.4849
N 0.9869 0.5882 0.2700
N 0.9869 0.9118 0.7700